ErCdPd2: computed X-ray diffraction stick pattern (Cu Kα (λ = 1.5418 Å)), based on a DFT-relaxed cell (PBE, the Materials Project).

Principal peaks in the range 2θ = 15–90°, most intense first:
- 37.66°, rel. 1000
- 67.98°, rel. 343
- 54.31°, rel. 171
- 80.41°, rel. 107
- 22.80°, rel. 24
- 26.38°, rel. 20

Structural model:
```
data_ErCdPd2
_chemical_formula_sum 'Er1 Cd1 Pd2'
_cell_length_a 4.777
_cell_length_b 4.777
_cell_length_c 4.777
_cell_angle_alpha 60.00
_cell_angle_beta 60.00
_cell_angle_gamma 60.00
_space_group_name_H-M_alt 'P 1'
_space_group_IT_number 1
_space_group_name_Hall 'P 1'
loop_
_atom_site_label
_atom_site_fract_x
_atom_site_fract_y
_atom_site_fract_z
Er1 0.000 0.000 0.000
Cd1 0.500 0.500 0.500
Pd1 0.250 0.250 0.250
Pd2 0.750 0.750 0.750
```